Structure and theoretical X-ray powder pattern of La2Tb3Sc4 (a DFT-relaxed cell (PBE, Alexandria); copper Kα).
Neutral-atom scattering factors, no anomalous dispersion.

Unit cell a=8.601 b=8.601 c=6.655 alpha=112.30 beta=112.30 gamma=36.63
Sites, in units of the cell vectors:
La 0.168 0.168 0.047
La 0.832 0.832 0.953
Tb 0.391 0.391 0.373
Tb 0.500 0.500 0.000
Tb 0.609 0.609 0.627
Sc 0.034 0.034 0.316
Sc 0.250 0.250 0.625
Sc 0.750 0.750 0.375
Sc 0.966 0.966 0.684

Largest 12 diffraction maxima, low angle first, 15 to 90 degrees two-theta:
2theta  Rel. int.
17.4  15
21.2  24
24.4  14
26.8  14
32.0  88
32.2  100
32.9  41
33.1  46
47.4  29
58.0  16
58.5  32
58.6  18

=====

Structure and theoretical X-ray powder pattern of LiHoEr2Hg4 (a DFT-relaxed cell (PBE, Alexandria); copper Kα).
Neutral-atom scattering factors, no anomalous dispersion.

Unit cell a=8.963 b=8.963 c=8.963 alpha=33.16 beta=33.16 gamma=33.16
Sites, in units of the cell vectors:
Li 0.000 0.000 0.000
Ho 0.500 0.500 0.500
Er 0.254 0.254 0.254
Er 0.746 0.746 0.746
Hg 0.122 0.122 0.122
Hg 0.374 0.374 0.374
Hg 0.626 0.626 0.626
Hg 0.878 0.878 0.878

Largest 12 diffraction maxima, low angle first, 15 to 90 degrees two-theta:
2theta  Rel. int.
24.5  13
26.7  6
34.8  100
35.1  99
50.2  36
62.1  18
62.7  37
62.9  19
73.4  11
74.1  12
84.0  16
84.6  17

=====

Structure and theoretical X-ray powder pattern of Zn3Cu11 (a DFT-relaxed cell (PBE, Alexandria); copper Kα).
Neutral-atom scattering factors, no anomalous dispersion.

Unit cell a=7.085 b=7.085 c=7.085 alpha=147.65 beta=98.23 gamma=90.68
Sites, in units of the cell vectors:
Zn 0.000 0.000 0.000
Zn 0.285 0.000 0.285
Zn 0.715 0.000 0.715
Cu 0.013 0.381 0.632
Cu 0.122 0.265 0.858
Cu 0.251 0.619 0.632
Cu 0.345 0.845 0.500
Cu 0.407 0.265 0.142
Cu 0.500 0.500 0.000
Cu 0.593 0.735 0.858
Cu 0.655 0.155 0.500
Cu 0.749 0.381 0.368
Cu 0.878 0.735 0.142
Cu 0.987 0.619 0.368

Largest 12 diffraction maxima, low angle first, 15 to 90 degrees two-theta:
2theta  Rel. int.
35.3  18
39.8  17
40.5  32
41.3  100
43.0  26
44.1  88
46.0  59
46.3  38
64.8  14
69.7  13
86.9  27
87.6  14

=====

Structure and theoretical X-ray powder pattern of SrAlCd2Au5 (a DFT-relaxed cell (PBE, Alexandria); copper Kα).
Neutral-atom scattering factors, no anomalous dispersion.

Unit cell a=8.251 b=8.251 c=8.251 alpha=145.06 beta=137.70 gamma=55.99
Sites, in units of the cell vectors:
Sr 0.000 0.000 0.000
Al 0.500 0.500 0.000
Cd 0.307 0.807 0.500
Cd 0.693 0.193 0.500
Au 0.097 0.360 0.737
Au 0.376 0.640 0.737
Au 0.500 0.000 0.500
Au 0.624 0.360 0.263
Au 0.903 0.640 0.263

Largest 12 diffraction maxima, low angle first, 15 to 90 degrees two-theta:
2theta  Rel. int.
23.4  21
25.7  66
35.7  100
36.3  44
37.0  17
39.1  46
39.9  32
54.4  36
57.1  22
64.9  18
74.1  15
83.5  14

=====

Structure and theoretical X-ray powder pattern of CuSb2Se2 (a DFT-relaxed cell (PBE, Alexandria); copper Kα).
Neutral-atom scattering factors, no anomalous dispersion.

Unit cell a=4.789 b=4.789 c=5.183 alpha=90.00 beta=90.00 gamma=90.00
Sites, in units of the cell vectors:
Cu 0.000 0.000 0.000
Sb 0.000 0.000 0.500
Sb 0.500 0.500 0.500
Se 0.000 0.500 0.000
Se 0.500 0.000 0.000

Largest 12 diffraction maxima, low angle first, 15 to 90 degrees two-theta:
2theta  Rel. int.
18.5  8
26.3  17
31.6  100
34.6  39
37.6  63
44.0  8
52.0  48
54.2  21
60.1  16
64.1  26
65.9  23
85.2  24

=====

Structure and theoretical X-ray powder pattern of Nd5AlAg2 (a DFT-relaxed cell (PBE, Alexandria); copper Kα).
Neutral-atom scattering factors, no anomalous dispersion.

Unit cell a=8.910 b=8.910 c=8.910 alpha=124.30 beta=124.30 gamma=82.71
Sites, in units of the cell vectors:
Nd 0.000 0.000 0.000
Nd 0.007 0.507 0.817
Nd 0.190 0.007 0.500
Nd 0.310 0.810 0.817
Nd 0.493 0.310 0.500
Nd 0.500 0.500 0.000
Nd 0.507 0.690 0.500
Nd 0.690 0.190 0.183
Nd 0.810 0.993 0.500
Nd 0.993 0.493 0.183
Al 0.250 0.250 0.000
Al 0.750 0.750 0.000
Ag 0.130 0.370 0.500
Ag 0.370 0.870 0.241
Ag 0.630 0.130 0.759
Ag 0.870 0.630 0.500

Largest 12 diffraction maxima, low angle first, 15 to 90 degrees two-theta:
2theta  Rel. int.
25.2  8
31.3  100
34.1  42
34.4  13
40.5  12
46.3  7
49.6  11
53.9  19
54.2  7
63.1  9
63.7  16
67.5  8

=====

- Which formula does entry 3 have?
  Zn3Cu11